# 1
Tb15SmEr4: computed PXRD pattern (λ = 1.5418 Å (Cu Kα)), based on DFT lattice parameters and positions (PBE).

Top 8 peaks for 2θ from 10° to 90°, by angle:
(1 1 5), 2θ 30.82, I 100
(2 0 0), 2θ 35.74, I 51
(2 2 0), 2θ 51.44, I 36
(3 1 5), 2θ 61.18, I 43
(2 2 10), 2θ 64.22, I 12
(4 0 0), 2θ 75.72, I 6
(3 3 5), 2θ 83.95, I 18
(4 2 0), 2θ 86.66, I 17

Crystal structure
```
data_Tb15SmEr4
_space_group_name_H-M_alt 'P 4/m m m'
_space_group_IT_number 123
_space_group_name_Hall '-P 4 2'
_cell_length_a 5.0251
_cell_length_b 5.0251
_cell_length_c 25.1143
_cell_angle_alpha 90.00
_cell_angle_beta 90.00
_cell_angle_gamma 90.00
loop_
_atom_site_label
_atom_site_type_symbol
_atom_site_fract_x
_atom_site_fract_y
_atom_site_fract_z
_atom_site_occupancy
Tb1 Tb 0.0000 0.0000 0.0000 1
Tb2 Tb 0.0000 0.0000 0.2013 1
Tb3 Tb 0.0000 0.0000 0.4002 1
Tb4 Tb 0.0000 0.5000 0.1012 1
Tb5 Tb 0.0000 0.5000 0.3006 1
Tb6 Tb 0.0000 0.5000 0.5000 1
Sm1 Sm 0.5000 0.5000 0.0000 1
Er1 Er 0.5000 0.5000 0.2009 1
Er2 Er 0.5000 0.5000 0.4003 1
```

***

# 2
Sm3Ga2Ni2: computed PXRD pattern (λ = 1.5418 Å (Cu Kα)), based on DFT lattice parameters and positions (PBE).

Top 10 peaks for 2θ from 10° to 90°, by angle:
(1 1 3), 2θ 28.23, I 23
(0 2 3), 2θ 30.24, I 37
(2 1 0), 2θ 33.75, I 100
(1 2 3), 2θ 34.28, I 37
(0 2 4), 2θ 35.42, I 34
(1 3 0), 2θ 37.05, I 67
(2 1 3), 2θ 39.82, I 68
(0 0 6), 2θ 41.60, I 25
(1 3 6), 2θ 56.92, I 21
(3 2 3), 2θ 58.34, I 18

Crystal structure
```
data_Sm3Ga2Ni2
_space_group_name_H-M_alt 'P b c m'
_space_group_IT_number 57
_space_group_name_Hall '-P 2c 2b'
_cell_length_a 5.6171
_cell_length_b 8.0705
_cell_length_c 13.0247
_cell_angle_alpha 90.00
_cell_angle_beta 90.00
_cell_angle_gamma 90.00
loop_
_atom_site_label
_atom_site_type_symbol
_atom_site_fract_x
_atom_site_fract_y
_atom_site_fract_z
_atom_site_occupancy
Sm1 Sm 0.1460 0.2478 0.2500 1
Sm2 Sm 0.3496 0.6030 0.0992 1
Ga1 Ga 0.1447 0.2500 0.0000 1
Ga2 Ga 0.3439 0.6043 0.7500 1
Ni1 Ni 0.1204 0.5329 0.5888 1
```

***

# 3
Ce2MgSn3Rh4: computed PXRD pattern (λ = 1.5418 Å (Cu Kα)), based on DFT lattice parameters and positions (PBE).

Top 10 peaks for 2θ from 10° to 90°, by angle:
(1 1 0), 2θ 29.31, I 20
(1 0 3), 2θ 31.36, I 72
(1 1 2), 2θ 33.33, I 100
(2 0 0), 2θ 41.92, I 65
(1 1 4), 2θ 43.44, I 26
(1 0 5), 2θ 44.93, I 42
(2 1 3), 2θ 53.28, I 33
(2 2 0), 2θ 60.79, I 23
(2 1 5), 2θ 63.13, I 31
(3 1 2), 2θ 71.12, I 22

Crystal structure
```
data_Ce2MgSn3Rh4
_space_group_name_H-M_alt 'P -4 m 2'
_space_group_IT_number 115
_space_group_name_Hall 'P -4 -2'
_cell_length_a 4.3098
_cell_length_b 4.3098
_cell_length_c 11.4152
_cell_angle_alpha 90.00
_cell_angle_beta 90.00
_cell_angle_gamma 90.00
loop_
_atom_site_label
_atom_site_type_symbol
_atom_site_fract_x
_atom_site_fract_y
_atom_site_fract_z
_atom_site_occupancy
Ce1 Ce 0.0000 0.5000 0.2470 1
Mg1 Mg 0.5000 0.5000 0.0000 1
Sn1 Sn 0.0000 0.0000 0.0000 1
Sn2 Sn 0.0000 0.5000 0.6297 1
Rh1 Rh 0.0000 0.0000 0.5000 1
Rh2 Rh 0.0000 0.5000 0.8576 1
Rh3 Rh 0.5000 0.5000 0.5000 1
```

***

# 4
Sr3Ga4Ir4: computed PXRD pattern (λ = 1.5418 Å (Cu Kα)), based on DFT lattice parameters and positions (PBE).

Top 10 peaks for 2θ from 10° to 90°, by angle:
(1 1 0), 2θ 16.02, I 100
(2 1 1), 2θ 27.94, I 34
(2 2 0), 2θ 32.37, I 35
(3 1 0), 2θ 36.32, I 89
(2 2 2), 2θ 39.92, I 33
(3 2 1), 2θ 43.28, I 69
(3 3 0), 2θ 49.43, I 47
(4 4 0), 2θ 67.77, I 24
(6 1 1), 2θ 74.82, I 24
(6 2 2), 2θ 81.64, I 23

Crystal structure
```
data_Sr3Ga4Ir4
_space_group_name_H-M_alt 'I -4 3 m'
_space_group_IT_number 217
_space_group_name_Hall 'I -4 2 3'
_cell_length_a 7.8225
_cell_length_b 7.8225
_cell_length_c 7.8225
_cell_angle_alpha 90.00
_cell_angle_beta 90.00
_cell_angle_gamma 90.00
loop_
_atom_site_label
_atom_site_type_symbol
_atom_site_fract_x
_atom_site_fract_y
_atom_site_fract_z
_atom_site_occupancy
Sr1 Sr 0.0000 0.0000 0.5000 1
Ga1 Ga 0.1924 0.1924 0.1924 1
Ir1 Ir 0.1272 0.1272 0.8728 1
```

***

# 5
Ho2Ga5Ni3: computed PXRD pattern (λ = 1.5418 Å (Cu Kα)), based on DFT lattice parameters and positions (PBE).

Top 10 peaks for 2θ from 10° to 90°, by angle:
(0 6 2), 2θ 35.35, I 20
(1 7 1), 2θ 36.49, I 69
(1 3 2), 2θ 36.64, I 100
(0 10 1), 2θ 39.81, I 28
(1 9 0), 2θ 39.97, I 28
(2 0 0), 2θ 43.40, I 39
(0 4 3), 2θ 44.12, I 17
(2 10 1), 2θ 60.35, I 16
(1 13 3), 2θ 70.29, I 21
(3 3 2), 2θ 75.16, I 20

Crystal structure
```
data_Ho2Ga5Ni3
_space_group_name_H-M_alt 'C m c 21'
_space_group_IT_number 36
_space_group_name_Hall 'C 2c -2'
_cell_length_a 4.1697
_cell_length_b 24.1345
_cell_length_c 6.5482
_cell_angle_alpha 90.00
_cell_angle_beta 90.00
_cell_angle_gamma 90.00
loop_
_atom_site_label
_atom_site_type_symbol
_atom_site_fract_x
_atom_site_fract_y
_atom_site_fract_z
_atom_site_occupancy
Ho1 Ho 0.0000 0.0192 0.0000 1
Ho2 Ho 0.0000 0.3261 0.0365 1
Ga1 Ga 0.0000 0.1001 0.3495 1
Ga2 Ga 0.0000 0.2061 0.8429 1
Ga3 Ga 0.0000 0.2109 0.2448 1
Ga4 Ga 0.0000 0.3748 0.5098 1
Ga5 Ga 0.0000 0.4475 0.1801 1
Ni1 Ni 0.0000 0.1073 0.7358 1
Ni2 Ni 0.0000 0.2734 0.5465 1
Ni3 Ni 0.0000 0.4499 0.7858 1
```

***

# 6
NdAl11O18: computed PXRD pattern (λ = 1.5418 Å (Cu Kα)), based on DFT lattice parameters and positions (PBE).

Top 10 peaks for 2θ from 10° to 90°, by angle:
(1 0 0), 2θ 18.10, I 78
(1 1 0), 2θ 18.56, I 78
(1 1 1), 2θ 19.19, I 100
(1 1 -1), 2θ 21.24, I 82
(1 1 2), 2θ 22.83, I 56
(1 0 3), 2θ 31.98, I 49
(0 1 4), 2θ 32.87, I 57
(2 1 -3), 2θ 40.64, I 69
(0 2 -2), 2θ 44.81, I 58
(2 0 -4), 2θ 46.32, I 51

Crystal structure
```
data_NdAl11O18
_space_group_name_H-M_alt 'P -1'
_space_group_IT_number 2
_space_group_name_Hall '-P 1'
_cell_length_a 5.6096
_cell_length_b 5.6330
_cell_length_c 11.4875
_cell_angle_alpha 76.83
_cell_angle_beta 89.76
_cell_angle_gamma 61.85
loop_
_atom_site_label
_atom_site_type_symbol
_atom_site_fract_x
_atom_site_fract_y
_atom_site_fract_z
_atom_site_occupancy
Nd1 Nd 0.0000 0.0000 0.0000 1
Al1 Al 0.0000 0.5000 0.5000 1
Al2 Al 0.1091 0.3121 0.2748 1
Al3 Al 0.1144 0.8052 0.2925 1
Al4 Al 0.3507 0.7972 0.5570 1
Al5 Al 0.3919 0.1891 0.7177 1
Al6 Al 0.4481 0.5828 0.8734 1
O1 O 0.0743 0.8272 0.7933 1
O2 O 0.0779 0.3053 0.7946 1
O3 O 0.1752 0.1287 0.5975 1
O4 O 0.1886 0.5841 0.6083 1
O5 O 0.2716 0.5509 0.0054 1
O6 O 0.2818 0.4177 0.3967 1
O7 O 0.3116 0.8993 0.3921 1
O8 O 0.4045 0.7148 0.1949 1
O9 O 0.4354 0.1828 0.2142 1
```